Computed powder X-ray diffraction pattern of K3VMo3H4O15 for λ = 1.5418 Å (Cu Kα), from a DFT-relaxed cell (PBE+U, the Materials Project).
Kinematic intensities with the Lorentz-polarization factor, no thermal factor.

Cell and atoms:
```
52
Lattice="7.553 -6.570 0.000 7.553 6.570 0.000 -5.972 0.000 7.398" Properties=species:S:1:pos:R:3 pbc="T T T"
K 0.000 0.000 0.000
K 1.614 2.581 1.987
K 1.614 -2.581 1.987
K 4.567 0.000 3.699
K 7.520 2.581 5.411
K 7.520 -2.581 5.411
V -1.214 0.000 3.703
V 10.349 0.000 3.695
Mo 4.903 4.287 2.032
Mo 4.231 4.287 5.366
Mo -1.689 0.000 7.118
Mo 10.823 0.000 0.280
Mo 4.903 -4.287 2.032
Mo 4.231 -4.287 5.366
H 1.107 1.098 5.043
H 2.499 1.718 5.389
H 6.635 1.718 2.008
H 1.107 -1.098 5.043
H 8.027 1.098 2.354
H 2.499 -1.718 5.389
H 6.635 -1.718 2.008
H 8.027 -1.098 2.354
O 3.259 4.686 3.696
O -3.182 0.000 5.114
O -1.853 1.856 6.552
O 6.249 4.309 0.909
O 0.077 0.000 2.669
O 2.885 4.309 6.489
O 4.542 2.588 2.254
O 5.875 4.686 3.702
O 1.751 1.793 4.765
O 2.898 0.000 0.823
O -0.426 0.000 5.276
O -1.853 -1.856 6.552
O 4.592 2.588 5.144
O 5.660 0.000 0.779
O 7.384 1.793 2.632
O 1.751 -1.793 4.765
O 3.474 0.000 6.619
O 4.542 -2.588 2.254
O 10.988 1.856 0.846
O 9.560 0.000 2.122
O 6.237 0.000 6.575
O 7.384 -1.793 2.632
O 3.259 -4.686 3.696
O 4.592 -2.588 5.144
O 6.249 -4.309 0.909
O 9.057 0.000 4.729
O 2.885 -4.309 6.489
O 10.988 -1.856 0.846
O 12.316 0.000 2.284
O 5.875 -4.686 3.702
```

The 6 most intense peaks (2θ = 15–90°), sorted by position:
Position (°2θ), I/Imax
27.08, 100
27.68, 75
28.13, 65
28.98, 42
39.47, 41
41.22, 41

***

Computed powder X-ray diffraction pattern of KNaV4H4O11 for λ = 1.5418 Å (Cu Kα), from a DFT-relaxed cell (PBE+U, the Materials Project).
Kinematic intensities with the Lorentz-polarization factor, no thermal factor.

Cell and atoms:
```
42
Lattice="4.188 -8.042 0.000 4.188 8.042 0.000 -0.032 0.000 8.421" Properties=species:S:1:pos:R:3 pbc="T T T"
K 4.163 7.842 6.316
K 4.179 -7.842 2.105
Na 4.163 2.456 6.316
Na 4.179 -2.456 2.105
V 2.451 3.345 1.313
V 3.365 4.760 3.887
V 4.994 4.760 0.324
V 5.908 3.345 2.897
V 2.434 -3.345 5.524
V 3.349 -4.760 8.097
V 4.978 -4.760 4.534
V 5.892 -3.345 7.107
H 2.631 0.770 8.125
H 2.984 0.200 2.700
H 2.647 -0.770 3.915
H 2.968 -0.200 6.911
H 5.375 0.200 1.510
H 5.696 0.770 4.506
H 5.358 -0.200 5.720
H 5.712 -0.770 0.296
O 3.391 6.411 4.003
O 2.411 3.948 5.429
O 3.272 3.990 8.087
O 2.455 1.680 1.366
O 4.968 6.411 0.208
O 4.179 4.110 2.105
O 2.822 0.733 7.159
O 5.054 3.990 4.544
O 2.838 -0.733 2.949
O 2.438 -1.680 5.576
O 5.916 3.948 7.202
O 2.427 -3.948 1.219
O 5.904 1.680 2.845
O 5.505 0.733 5.472
O 3.288 -3.990 3.877
O 5.521 -0.733 1.262
O 4.163 -4.110 6.316
O 3.375 -6.411 8.213
O 5.888 -1.680 7.055
O 5.071 -3.990 0.334
O 5.932 -3.948 2.992
O 4.951 -6.411 4.418
```

The 6 most intense peaks (2θ = 15–90°), sorted by position:
Position (°2θ), I/Imax
22.11, 40
26.25, 79
28.97, 100
32.68, 31
34.17, 35
34.27, 30

***

Computed powder X-ray diffraction pattern of KNi2H3Se2O10 for λ = 1.5418 Å (Cu Kα), from a DFT-relaxed cell (PBE+U, the Materials Project).
Kinematic intensities with the Lorentz-polarization factor, no thermal factor.

Cell and atoms:
```
18
Lattice="5.592 0.000 0.000 1.827 5.286 0.000 2.563 1.830 7.164" Properties=species:S:1:pos:R:3 pbc="T T T"
K 0.000 0.000 0.000
Ni 5.947 6.199 3.603
Ni 7.800 3.594 3.603
H 1.405 0.997 3.492
H 2.116 1.505 2.043
H 7.903 5.629 5.095
Se 5.128 3.653 5.593
Se 4.868 3.470 1.584
O 2.213 1.572 3.019
O 3.358 4.097 1.963
O 2.239 1.593 0.025
O 3.947 2.813 4.663
O 5.024 5.282 5.209
O 4.972 1.840 1.967
O 6.045 4.307 2.518
O 7.756 5.527 7.154
O 6.633 3.019 5.209
O 7.801 5.553 4.125
```

The 6 most intense peaks (2θ = 15–90°), sorted by position:
Position (°2θ), I/Imax
17.31, 80
25.44, 83
26.61, 100
28.78, 88
30.24, 58
34.14, 77